1.
# Al7C6
Calculated powder diffraction line list, a wavelength of 1.5418 Å. Input: a DFT-relaxed cell (GGA-PBE, Alexandria).

Principal peaks in the range 2θ from 10° to 90°, in order of falling intensity:
19.7 deg, I 100.0, hkl 1 0 1; 50.6 deg, I 76.8, hkl 0 2 7; 39.2 deg, I 76.7, hkl 0 2 1; 43.3 deg, I 67.2, hkl 1 1 6; 40.0 deg, I 49.6, hkl 2 0 2; 45.2 deg, I 44.4, hkl 2 0 5; 70.5 deg, I 41.4, hkl 2 2 0; 21.1 deg, I 35.8, hkl 0 1 2; 53.8 deg, I 32.7, hkl 2 0 8; 36.2 deg, I 31.1, hkl 1 1 3

a = 5.3414 Å, b = 5.3414 Å, c = 20.1710 Å
α = 90.00°, β = 90.00°, γ = 120.00°
Space group R-3m (No. 166, hexagonal axes)
Inequivalent atoms, fractional coordinates:
Al 0.0000 0.0000 0.0000 x3
Al 0.0067 0.5034 0.4314 x18
C 0.0000 0.0000 0.1670 x6
C 0.0000 0.0000 0.3134 x6
C 0.0000 0.0000 0.3816 x6



2.
# LiPt2N
Calculated powder diffraction line list, a wavelength of 1.5418 Å. Input: a DFT-relaxed cell (GGA-PBE, Alexandria).

Principal peaks in the range 2θ from 10° to 90°, in order of falling intensity:
18.5 deg, I 100.0, hkl 1 0 1; 37.6 deg, I 64.0, hkl 2 0 2; 28.3 deg, I 31.3, hkl 1 0 3; 39.2 deg, I 26.9, hkl 2 1 1; 30.2 deg, I 25.7, hkl 0 0 4; 45.0 deg, I 20.4, hkl 2 1 3; 58.8 deg, I 19.2, hkl 2 2 4; 58.5 deg, I 18.0, hkl 2 0 6; 84.3 deg, I 16.3, hkl 4 2 2; 49.2 deg, I 13.7, hkl 2 2 0

a = 5.2365 Å, b = 5.2365 Å, c = 11.8537 Å
α = 90.00°, β = 90.00°, γ = 90.00°
Space group I-42d (No. 122)
Inequivalent atoms, fractional coordinates:
Li 0.0000 0.0000 0.0000 x4
Pt 0.0020 0.2500 0.6250 x8
N 0.0000 0.0000 0.5000 x4



Please write out number 1 again, unchanged.
# Al7C6
Calculated powder diffraction line list, a wavelength of 1.5418 Å. Input: a DFT-relaxed cell (GGA-PBE, Alexandria).

Principal peaks in the range 2θ from 10° to 90°, in order of falling intensity:
19.7 deg, I 100.0, hkl 1 0 1; 50.6 deg, I 76.8, hkl 0 2 7; 39.2 deg, I 76.7, hkl 0 2 1; 43.3 deg, I 67.2, hkl 1 1 6; 40.0 deg, I 49.6, hkl 2 0 2; 45.2 deg, I 44.4, hkl 2 0 5; 70.5 deg, I 41.4, hkl 2 2 0; 21.1 deg, I 35.8, hkl 0 1 2; 53.8 deg, I 32.7, hkl 2 0 8; 36.2 deg, I 31.1, hkl 1 1 3

a = 5.3414 Å, b = 5.3414 Å, c = 20.1710 Å
α = 90.00°, β = 90.00°, γ = 120.00°
Space group R-3m (No. 166, hexagonal axes)
Inequivalent atoms, fractional coordinates:
Al 0.0000 0.0000 0.0000 x3
Al 0.0067 0.5034 0.4314 x18
C 0.0000 0.0000 0.1670 x6
C 0.0000 0.0000 0.3134 x6
C 0.0000 0.0000 0.3816 x6